For MnAl2WO8, a cell relaxed with GGA+U gives the computed powder diffractogram in this record (CuKα).

Largest 6 diffraction maxima, by intensity, 10 to 80 degrees two-theta:
| d/Å | I/Imax |
| --- | --- |
| 4.544 | 100 |
| 2.456 | 78 |
| 3.282 | 67 |
| 3.148 | 61 |
| 3.586 | 55 |
| 1.687 | 41 |

Atomic structure:
a b c (Å): 4.5480 4.5480 5.8383
angles (deg): 90.00 90.00 92.39
Element x y z (fractional)
Mn1 0.0000 0.0000 0.0000
Al1 0.5000 0.5000 0.2411
Al2 0.5000 0.5000 0.7589
W1 0.0000 0.0000 0.5000
O1 0.1965 0.8035 0.2523
O2 0.1965 0.8035 0.7477
O3 0.3043 0.3043 0.0000
O4 0.3099 0.3099 0.5000
O5 0.6901 0.6901 0.5000
O6 0.6957 0.6957 0.0000
O7 0.8035 0.1965 0.2523
O8 0.8035 0.1965 0.7477